# 1
# Sm4Y3Sc4
Simulated X-ray diffraction stick pattern, a wavelength of 1.5418 Å. Input: a structure optimized by DFT (PBE).
Lines closer than 0.1° are merged.

Most intense lines, 15 to 90 degrees two-theta, most intense first:
2θ 33.0, I = 100, (2 1 3)
2θ 24.9, I = 45, (2 1 1)
2θ 32.5, I = 41, (0 2 0)
2θ 31.7, I = 29, (3 1 1)
2θ 58.2, I = 23, (2 3 3)
2θ 35.0, I = 20, (4 0 0)
2θ 31.5, I = 18, (1 0 4)
2θ 29.2, I = 17, (1 1 3)
2θ 15.0, I = 16, (0 0 2)
2θ 48.5, I = 16, (4 2 0)

Unit cell a=10.250 b=5.515 c=11.805 alpha=90.00 beta=90.00 gamma=90.00
Space group Amm2 (No. 38)
One atom of each set of equivalent atoms:
Sm 0.000 0.000 0.000 (multiplicity 2)
Sm 0.218 0.000 0.455 (multiplicity 4)
Sm 0.500 0.000 0.912 (multiplicity 2)
Y 0.190 0.000 0.757 (multiplicity 4)
Y 0.500 0.000 0.617 (multiplicity 2)
Sc 0.000 0.000 0.257 (multiplicity 2)
Sc 0.289 0.000 0.123 (multiplicity 4)
Sc 0.500 0.000 0.307 (multiplicity 2)

***

# 2
# Sm3ScZn8
Simulated X-ray diffraction stick pattern, a wavelength of 1.5418 Å. Input: a structure optimized by DFT (PBE).
Lines closer than 0.1° are merged.

Most intense lines, 15 to 90 degrees two-theta, most intense first:
2θ 38.6, I = 100, (1 0 10)
2θ 32.8, I = 47, (1 1 0)
2θ 62.4, I = 24, (2 1 10)
2θ 40.4, I = 19, (0 2 4)
2θ 58.4, I = 13, (3 0 0)
2θ 68.6, I = 12, (2 2 0)
2θ 68.7, I = 12, (0 2 16)
2θ 81.6, I = 8, (1 3 10)
2θ 62.5, I = 8, (0 0 18)
2θ 82.7, I = 6, (4 0 4)

Unit cell a=5.4746 b=5.4746 c=26.7308 alpha=90.00 beta=90.00 gamma=120.00
Space group R3m (No. 160, hexagonal axes)
One atom of each set of equivalent atoms:
Sm 0.0000 0.0000 0.0000 (multiplicity 3)
Sm 0.0000 0.0000 0.1250 (multiplicity 3)
Sm 0.0000 0.0000 0.6231 (multiplicity 3)
Sc 0.0000 0.0000 0.4992 (multiplicity 3)
Zn 0.0000 0.0000 0.3120 (multiplicity 3)
Zn 0.0000 0.0000 0.8120 (multiplicity 3)
Zn 0.0033 0.5017 0.0636 (multiplicity 9)
Zn 0.1673 0.3346 0.8936 (multiplicity 9)

***

# 3
# Sm2ScZn4
Simulated X-ray diffraction stick pattern, a wavelength of 1.5418 Å. Input: a structure optimized by DFT (PBE).
Lines closer than 0.1° are merged.

Most intense lines, 15 to 90 degrees two-theta, most intense first:
2θ 36.2, I = 100, (0 1 8)
2θ 37.0, I = 98, (1 1 0)
2θ 22.3, I = 60, (0 1 2)
2θ 52.7, I = 33, (2 0 8)
2θ 66.1, I = 33, (1 2 8)
2θ 43.3, I = 17, (1 1 6)
2θ 21.7, I = 17, (0 0 6)
2θ 66.6, I = 17, (3 0 0)
2θ 64.5, I = 16, (1 0 16)
2θ 89.8, I = 14, (3 1 8)

Unit cell a=4.8642 b=4.8642 c=24.5985 alpha=90.00 beta=90.00 gamma=120.00
Space group R-3m (No. 166, hexagonal axes)
One atom of each set of equivalent atoms:
Sm 0.0000 0.0000 0.2459 (multiplicity 6)
Sc 0.0000 0.0000 0.0000 (multiplicity 3)
Zn 0.0000 0.0000 0.1235 (multiplicity 6)
Zn 0.0000 0.0000 0.3700 (multiplicity 6)

***

# 4
# SmSc2Zn2
Simulated X-ray diffraction stick pattern, a wavelength of 1.5418 Å. Input: a structure optimized by DFT (PBE).
Lines closer than 0.1° are merged.

Most intense lines, 15 to 90 degrees two-theta, most intense first:
2θ 36.2, I = 100, (1 1 2)
2θ 35.9, I = 28, (0 2 0)
2θ 35.2, I = 22, (0 0 5)
2θ 64.7, I = 17, (1 3 2)
2θ 51.1, I = 15, (0 2 5)
2θ 19.1, I = 11, (0 1 1)
2θ 33.3, I = 11, (0 1 4)
2θ 63.8, I = 10, (1 1 7)
2θ 31.7, I = 10, (1 1 0)
2θ 65.7, I = 9, (2 2 -1)

Unit cell a=3.455 b=5.004 c=12.872 alpha=90.00 beta=97.71 gamma=90.00
Space group P2_1/m (No. 11)
One atom of each set of equivalent atoms:
Sm 0.146 0.250 0.290 (multiplicity 2)
Sc 0.047 0.750 0.093 (multiplicity 2)
Sc 0.234 0.750 0.467 (multiplicity 2)
Zn 0.359 0.250 0.720 (multiplicity 2)
Zn 0.456 0.750 0.913 (multiplicity 2)

***

# 5
# SmSc2Zn9
Simulated X-ray diffraction stick pattern, a wavelength of 1.5418 Å. Input: a structure optimized by DFT (PBE).
Lines closer than 0.1° are merged.

Most intense lines, 15 to 90 degrees two-theta, most intense first:
2θ 40.0, I = 100, (1 1 6)
2θ 39.2, I = 31, (0 2 1)
2θ 42.9, I = 26, (0 0 12)
2θ 33.6, I = 25, (1 1 0)
2θ 64.5, I = 23, (0 3 6)
2θ 70.7, I = 21, (2 2 0)
2θ 34.4, I = 20, (0 1 8)
2θ 43.1, I = 19, (2 0 5)
2θ 86.4, I = 19, (2 2 12)
2θ 39.7, I = 18, (2 0 2)

Unit cell a=5.3300 b=5.3300 c=25.3147 alpha=90.00 beta=90.00 gamma=120.00
Space group R-3m (No. 166, hexagonal axes)
One atom of each set of equivalent atoms:
Sm 0.0000 0.0000 0.0000 (multiplicity 3)
Sc 0.0000 0.0000 0.1430 (multiplicity 6)
Zn 0.0000 0.0000 0.3351 (multiplicity 6)
Zn 0.0000 0.0000 0.5000 (multiplicity 3)
Zn 0.0078 0.5039 0.9145 (multiplicity 18)

***

# 6
# Sm2ZrSc
Simulated X-ray diffraction stick pattern, a wavelength of 1.5418 Å. Input: a structure optimized by DFT (PBE).
Lines closer than 0.1° are merged.

Most intense lines, 15 to 90 degrees two-theta, most intense first:
2θ 32.2, I = 100, (1 1 1)
2θ 37.3, I = 33, (2 0 0)
2θ 64.0, I = 27, (3 1 1)
2θ 53.9, I = 23, (2 0 2)
2θ 37.5, I = 17, (0 0 2)
2θ 18.5, I = 15, (0 0 1)
2θ 26.1, I = 13, (1 1 0)
2θ 64.3, I = 13, (1 1 3)
2θ 67.3, I = 11, (2 2 2)
2θ 53.7, I = 11, (2 2 0)

Unit cell a=4.824 b=4.824 c=4.803 alpha=90.00 beta=90.00 gamma=90.00
Space group P4/mmm (No. 123)
One atom of each set of equivalent atoms:
Sm 0.000 0.500 0.000 (multiplicity 2)
Zr 0.000 0.000 0.500 (multiplicity 1)
Sc 0.500 0.500 0.500 (multiplicity 1)